# Er5Ga2Sn
Simulated powder diffractogram, CuKα. Input: a DFT-relaxed cell (PBE, Alexandria).
Kinematic intensities with the Lorentz-polarization factor, no thermal factor.

Structure:
```
16
Lattice="-3.900 3.900 6.791 3.900 -3.900 6.791 3.900 3.900 -6.791" Properties=species:S:1:pos:R:3 pbc="T T T"
Er 0.000 0.000 0.000
Er 5.155 1.255 -1.961
Er 1.255 2.645 -1.961
Er 5.155 1.255 1.961
Er 1.255 2.645 1.961
Er 0.000 0.000 6.791
Er 2.645 1.255 4.830
Er -1.255 2.645 4.830
Er 2.645 1.255 8.752
Er -1.255 2.645 8.752
Ga 2.872 1.028 0.000
Ga 2.872 -1.028 6.791
Ga 1.028 4.928 0.000
Ga 1.028 2.872 6.791
Sn 0.000 0.000 3.395
Sn 0.000 0.000 10.186
```

Principal peaks in the range 15° ≤ 2θ ≤ 90°, in order of falling intensity:
2theta	I (rel.)
32.4	100
36.4	51
35.0	31
30.9	23
26.4	21
52.4	21
68.0	17
57.0	17
54.1	15
66.9	11